Entry 1:
Structure and theoretical PXRD pattern of Rb2TlSe2O6 (a structure optimized by DFT (PBE); copper Kα).

a = 6.3387 Å, b = 6.3387 Å, c = 24.0702 Å
α = 90.00°, β = 90.00°, γ = 120.00°
Space group R-3m (No. 166, hexagonal axes)
Unique sites:
1 Rb 0.0000 0.0000 0.2254 (multiplicity 6)
2 Tl 0.0000 0.0000 0.5000 (multiplicity 3)
3 Se 0.0000 0.0000 0.0738 (multiplicity 6)
4 O 0.0437 0.5218 0.7677 (multiplicity 18)

Principal peaks in the range 10° ≤ 2θ ≤ 90°, sorted by position:
d [Å], 2θ/deg, intensity, hkl
8.023, 11.03, 91.4, 0 0 3
4.994, 17.76, 30.8, 0 1 2
4.056, 21.92, 46.6, 1 0 4
3.619, 24.60, 27.0, 0 1 5
3.169, 28.16, 100.0, 1 1 0
2.948, 30.32, 37.0, 1 1 3
2.914, 30.68, 79.0, 1 0 7
2.497, 35.96, 29.6, 0 2 4
2.145, 42.12, 43.4, 0 2 7
1.776, 51.44, 32.8, 2 1 7

Entry 2:
Structure and theoretical PXRD pattern of Dy3As6Pd20 (a structure optimized by DFT (PBE); copper Kα).

a = 12.555 Å, b = 12.555 Å, c = 12.555 Å
α = 90.00°, β = 90.00°, γ = 90.00°
Space group Fm-3m (No. 225)
Unique sites:
1 Dy 0.000 0.000 0.000 (multiplicity 4)
2 Dy 0.250 0.250 0.250 (multiplicity 8)
3 As 0.000 0.000 0.265 (multiplicity 24)
4 Pd 0.000 0.174 0.174 (multiplicity 48)
5 Pd 0.118 0.118 0.382 (multiplicity 32)

Principal peaks in the range 10° ≤ 2θ ≤ 90°, sorted by position:
d [Å], 2θ/deg, intensity, hkl
2.807, 31.88, 14.0, 4 2 0
2.563, 35.01, 27.1, 4 2 2
2.416, 37.21, 100.0, 3 3 3
2.219, 40.65, 53.0, 4 4 0
2.122, 42.60, 25.3, 5 3 1
2.093, 43.24, 13.6, 6 0 0
1.893, 48.07, 24.4, 6 2 2
1.480, 62.80, 25.8, 6 6 0
1.450, 64.25, 14.4, 5 5 5
1.281, 73.97, 29.1, 8 4 4

Entry 3:
Structure and theoretical PXRD pattern of Cd3In (a structure optimized by DFT (PBE); copper Kα).

a = 3.258 Å, b = 10.927 Å, c = 5.414 Å
α = 90.00°, β = 90.00°, γ = 90.00°
Space group Imm2 (No. 44)
Unique sites:
1 Cd 0.000 0.000 0.000 (multiplicity 2)
2 Cd 0.000 0.256 0.329 (multiplicity 4)
3 In 0.000 0.500 0.995 (multiplicity 2)

Principal peaks in the range 10° ≤ 2θ ≤ 90°, sorted by position:
d [Å], 2θ/deg, intensity, hkl
2.792, 32.06, 23.6, 1 0 1
2.732, 32.78, 43.4, 0 4 0
2.707, 33.09, 10.4, 0 0 2
2.486, 36.13, 100.0, 1 2 1
2.426, 37.06, 47.3, 0 2 2
1.952, 46.51, 16.1, 1 4 1
1.579, 58.46, 15.7, 1 0 3
1.525, 60.72, 20.4, 1 6 1
1.367, 68.68, 23.5, 1 4 3
1.352, 69.50, 15.1, 2 2 2

Entry 4:
Structure and theoretical PXRD pattern of Pr2Ga9Pt3 (a structure optimized by DFT (PBE); copper Kα).

a = 13.465 Å, b = 7.796 Å, c = 10.666 Å
α = 90.00°, β = 114.62°, γ = 90.00°
Space group C2/c (No. 15)
Unique sites:
1 Pr 0.168 0.084 0.251 (multiplicity 8)
2 Ga 0.000 0.378 0.250 (multiplicity 4)
3 Ga 0.058 0.084 0.924 (multiplicity 8)
4 Ga 0.101 0.317 0.750 (multiplicity 8)
5 Ga 0.105 0.416 0.065 (multiplicity 8)
6 Ga 0.223 0.418 0.423 (multiplicity 8)
7 Pt 0.085 0.247 0.502 (multiplicity 8)
8 Pt 0.250 0.250 0.000 (multiplicity 4)

Principal peaks in the range 10° ≤ 2θ ≤ 90°, sorted by position:
d [Å], 2θ/deg, intensity, hkl
3.892, 22.85, 25.0, 0 2 0
3.039, 29.39, 45.3, 3 1 1
3.028, 29.50, 22.4, 3 1 -3
2.489, 36.08, 48.2, 0 2 3
2.481, 36.21, 24.5, 3 1 -4
2.424, 37.09, 24.5, 0 0 4
2.247, 40.12, 100.0, 6 0 -2
2.060, 43.96, 22.2, 0 2 4
2.040, 44.40, 28.4, 3 3 -3
1.808, 50.48, 20.4, 0 4 2